Mg3Cd2Ag7: theoretical X-ray diffraction stick pattern (Cu Kα X-rays), based on the PBE geometry in Alexandria.
Intensities are scaled so that the largest is 100.

Structural model:
a b c (Å): 6.959 6.485 10.478
angles (deg): 90.00 109.25 90.00
Space group C2/m (No. 12)
Symmetry-distinct sites (fractional):
1 Mg 0.000 0.000 0.000 [2 per cell]
2 Mg 0.163 0.500 0.327 [4 per cell]
3 Cd 0.167 0.000 0.332 [4 per cell]
4 Ag 0.000 0.249 0.500 [4 per cell]
5 Ag 0.000 0.500 0.000 [2 per cell]
6 Ag 0.168 0.249 0.837 [8 per cell]

Main lines, by intensity (2θ = 10–90°):
37.9 deg, I = 100, (2 2 -1)
39.0 deg, I = 92, (0 2 3)
37.5 deg, I = 51, (2 0 2)
37.6 deg, I = 51, (2 0 -4)
23.1 deg, I = 43, (1 1 -2)
70.1 deg, I = 30, (2 4 2)
52.6 deg, I = 19, (4 0 -2)
67.3 deg, I = 17, (4 2 1)
67.4 deg, I = 17, (4 2 -5)
69.4 deg, I = 15, (2 2 5)

Mg7Cd2Ag: theoretical X-ray diffraction stick pattern (Cu Kα X-rays), based on the PBE geometry in Alexandria.
Intensities are scaled so that the largest is 100.

Structural model:
a b c (Å): 13.441 8.335 9.890
angles (deg): 90.00 128.53 90.00
Space group C2/c (No. 15)
Symmetry-distinct sites (fractional):
1 Mg 0.000 0.140 0.250 [4 per cell]
2 Mg 0.084 0.339 0.074 [8 per cell]
3 Mg 0.136 0.210 0.806 [8 per cell]
4 Mg 0.205 0.360 0.568 [8 per cell]
5 Cd 0.172 0.003 0.090 [8 per cell]
6 Ag 0.000 0.500 0.250 [4 per cell]

Main lines, by intensity (2θ = 10–90°):
21.7 deg, I = 100, (1 1 -2)
37.6 deg, I = 87, (1 3 -2)
27.6 deg, I = 81, (3 1 0)
34.3 deg, I = 70, (4 2 -2)
21.3 deg, I = 53, (0 2 0)
26.6 deg, I = 48, (4 0 -2)
38.3 deg, I = 41, (2 0 -4)
40.5 deg, I = 40, (5 1 -4)
41.5 deg, I = 38, (3 3 0)
36.4 deg, I = 32, (2 0 2)

Mg2Cd4Ag: theoretical X-ray diffraction stick pattern (Cu Kα X-rays), based on the PBE geometry in Alexandria.
Intensities are scaled so that the largest is 100.

Structural model:
a b c (Å): 5.441 10.817 10.581
angles (deg): 90.00 90.00 90.00
Space group Cmce (No. 64)
Symmetry-distinct sites (fractional):
1 Mg 0.000 0.144 0.036 [8 per cell]
2 Cd 0.000 0.190 0.319 [8 per cell]
3 Cd 0.250 0.065 0.750 [8 per cell]
4 Ag 0.000 0.000 0.500 [4 per cell]

Main lines, by intensity (2θ = 10–90°):
34.2 deg, I = 100, (0 4 1)
39.4 deg, I = 79, (1 3 3)
40.9 deg, I = 77, (2 2 2)
38.0 deg, I = 74, (2 2 1)
16.8 deg, I = 65, (0 0 2)
20.1 deg, I = 50, (1 1 1)
24.9 deg, I = 46, (1 1 2)
38.8 deg, I = 40, (1 1 4)
62.8 deg, I = 32, (2 0 6)
37.9 deg, I = 30, (0 2 4)

Mg2Cd3Ag7: theoretical X-ray diffraction stick pattern (Cu Kα X-rays), based on the PBE geometry in Alexandria.
Intensities are scaled so that the largest is 100.

Structural model:
a b c (Å): 7.917 6.224 9.964
angles (deg): 90.00 113.18 90.00
Space group C2/m (No. 12)
Symmetry-distinct sites (fractional):
1 Mg 0.168 0.000 0.336 [4 per cell]
2 Cd 0.000 0.000 0.000 [2 per cell]
3 Cd 0.166 0.500 0.330 [4 per cell]
4 Ag 0.000 0.250 0.500 [4 per cell]
5 Ag 0.000 0.500 0.000 [2 per cell]
6 Ag 0.167 0.251 0.833 [8 per cell]

Main lines, by intensity (2θ = 10–90°):
36.7 deg, I = 100, (2 2 -1)
41.4 deg, I = 71, (0 2 3)
37.3 deg, I = 49, (2 0 -4)
37.1 deg, I = 49, (2 0 2)
45.8 deg, I = 26, (4 0 -2)
72.2 deg, I = 25, (2 4 2)
63.4 deg, I = 19, (4 2 1)
63.6 deg, I = 19, (4 2 -5)
23.3 deg, I = 15, (1 1 -2)
73.0 deg, I = 12, (2 2 5)